The following is a simulated powder X-ray diffraction pattern of Li3Cr4PH3O16. It was derived from a structure optimized by DFT (PBE+U), using CuKα.
Kinematic intensities with the Lorentz-polarization factor, no thermal factor.

The 10 most intense peaks (15° ≤ 2θ ≤ 90°), by intensity:
| two_theta | intensity |
| --- | --- |
| 23.8 | 100.0 |
| 19.4 | 90.4 |
| 23.6 | 85.5 |
| 22.9 | 80.2 |
| 19.1 | 71.6 |
| 27.7 | 63.7 |
| 27.0 | 39.3 |
| 23.5 | 38.7 |
| 26.6 | 29.0 |
| 40.5 | 28.8 |

Structure:
```
Li3Cr4PH3O16
1.0
4.577 -6.480 0.000
4.577 6.480 0.000
-4.334 0.000 6.697
Li Cr P H O
3 4 1 3 16
direct
0.000 0.000 0.000 Li
0.445 0.937 0.734 Li
0.937 0.445 0.734 Li
0.105 0.732 0.242 Cr
0.288 0.288 0.838 Cr
0.678 0.678 0.632 Cr
0.732 0.105 0.242 Cr
0.672 0.672 0.236 P
0.373 0.373 0.467 H
0.377 0.965 0.046 H
0.965 0.377 0.046 H
0.124 0.331 0.700 O
0.159 0.912 0.175 O
0.198 0.198 0.967 O
0.278 0.745 0.429 O
0.331 0.124 0.700 O
0.472 0.472 0.607 O
0.490 0.998 0.015 O
0.525 0.525 0.011 O
0.586 0.586 0.358 O
0.686 0.881 0.288 O
0.686 0.895 0.748 O
0.745 0.278 0.429 O
0.881 0.686 0.288 O
0.895 0.686 0.748 O
0.912 0.159 0.175 O
0.998 0.490 0.015 O
```

The following is a simulated powder X-ray diffraction pattern of LiCrP2HO7. It was derived from a structure optimized by DFT (PBE+U), using CuKα.
Kinematic intensities with the Lorentz-polarization factor, no thermal factor.

The 10 most intense peaks (15° ≤ 2θ ≤ 90°), by intensity:
| two_theta | intensity |
| --- | --- |
| 26.8 | 100.0 |
| 27.9 | 56.4 |
| 17.1 | 39.4 |
| 29.1 | 36.5 |
| 18.3 | 35.0 |
| 23.7 | 27.9 |
| 31.1 | 26.6 |
| 29.9 | 24.4 |
| 28.6 | 18.6 |
| 15.4 | 16.1 |

Structure:
```
LiCrP2HO7
1.0
6.147 0.000 0.000
-2.214 6.145 0.000
-0.737 -0.523 7.511
Li Cr P H O
2 2 4 2 14
direct
0.241 0.189 0.313 Li
0.759 0.811 0.687 Li
0.238 0.663 0.798 Cr
0.762 0.337 0.202 Cr
0.285 0.687 0.366 P
0.341 0.187 0.890 P
0.659 0.813 0.110 P
0.715 0.313 0.634 P
0.012 0.217 0.701 H
0.988 0.783 0.299 H
0.112 0.455 0.320 O
0.148 0.854 0.375 O
0.187 0.956 0.823 O
0.221 0.344 0.818 O
0.412 0.753 0.189 O
0.414 0.221 0.091 O
0.452 0.719 0.531 O
0.548 0.281 0.469 O
0.586 0.779 0.909 O
0.588 0.247 0.811 O
0.779 0.656 0.182 O
0.813 0.044 0.177 O
0.852 0.146 0.625 O
0.888 0.545 0.680 O
```

Question: Which formula does entry 1 have?
Answer: Li3Cr4PH3O16